Computed PXRD pattern of Tb2Ti3Si4 for Cu Kα, from a PBE-relaxed structure.
Neutral-atom scattering factors, no anomalous dispersion.

Most intense lines, 2θ = 15–90°, by intensity:
2θ 35.16, I = 1000
2θ 40.76, I = 869
2θ 36.64, I = 681
2θ 39.06, I = 654
2θ 31.49, I = 422
2θ 19.03, I = 398
2θ 59.44, I = 316
2θ 30.28, I = 316
2θ 29.09, I = 306
2θ 32.88, I = 251

Crystal structure
```
data_Tb2Ti3Si4
_chemical_formula_sum 'Tb8 Ti12 Si16'
_space_group_name_H-M_alt 'P 41 21 2'
_space_group_IT_number 92
_cell_length_a 7.0646
_cell_length_b 7.0646
_cell_length_c 12.9965
_cell_angle_alpha 90.00
_cell_angle_beta 90.00
_cell_angle_gamma 90.00
loop_
_space_group_symop_operation_xyz
'x,y,z'
'-y+1/2,x+1/2,z+1/4'
'-x,-y,z+1/2'
'y+1/2,-x+1/2,z+3/4'
'x+1/2,-y+1/2,-z+3/4'
'-y,-x,-z+1/2'
'-x+1/2,y+1/2,-z+1/4'
'y,x,-z'
loop_
_atom_site_label
_atom_site_type_symbol
_atom_site_fract_x
_atom_site_fract_y
_atom_site_fract_z
_atom_site_occupancy
Tb1 Tb 0.0029 0.3396 0.0335 1
Ti1 Ti 0.0079 0.1531 0.6230 1
Ti2 Ti 0.1726 0.8274 0.7500 1
Si1 Si 0.0462 0.7089 0.9349 1
Si2 Si 0.1301 0.2020 0.8147 1
```

Computed PXRD pattern of Tb2V3Si4 for Cu Kα, from a PBE-relaxed structure.
Neutral-atom scattering factors, no anomalous dispersion.

Most intense lines, 2θ = 15–90°, by intensity:
2θ 37.53, I = 1000
2θ 37.81, I = 971
2θ 18.89, I = 592
2θ 42.12, I = 540
2θ 34.78, I = 524
2θ 35.02, I = 497
2θ 42.45, I = 373
2θ 30.60, I = 302
2θ 42.26, I = 286
2θ 30.75, I = 280

Crystal structure
```
data_Tb2V3Si4
_chemical_formula_sum 'Tb4 V6 Si8'
_space_group_name_H-M_alt 'P 1 21/c 1'
_space_group_IT_number 14
_cell_length_a 6.8423
_cell_length_b 6.8375
_cell_length_c 6.7222
_cell_angle_alpha 90.00
_cell_angle_beta 109.18
_cell_angle_gamma 90.00
loop_
_space_group_symop_operation_xyz
'x,y,z'
'-x,-y,-z'
'-x,y+1/2,-z+1/2'
'x,-y+1/2,z+1/2'
loop_
_atom_site_label
_atom_site_type_symbol
_atom_site_fract_x
_atom_site_fract_y
_atom_site_fract_z
_atom_site_occupancy
Tb1 Tb 0.1863 0.1676 0.0609 1
V1 V 0.2602 0.6710 0.2487 1
V2 V 0.5000 0.0000 0.5000 1
Si1 Si 0.0925 0.5460 0.8739 1
Si2 Si 0.4994 0.6290 0.6297 1
```

Computed PXRD pattern of TbYSi3 for Cu Kα, from a PBE-relaxed structure.
Neutral-atom scattering factors, no anomalous dispersion.

Most intense lines, 2θ = 15–90°, by intensity:
2θ 33.15, I = 1000
2θ 33.43, I = 623
2θ 26.80, I = 580
2θ 31.45, I = 380
2θ 51.93, I = 373
2θ 45.90, I = 354
2θ 57.95, I = 252
2θ 43.63, I = 248
2θ 29.07, I = 242
2θ 65.16, I = 170

Crystal structure
```
data_TbYSi3
_chemical_formula_sum 'Tb4 Y4 Si12'
_space_group_name_H-M_alt 'C m c m'
_space_group_IT_number 63
_space_group_name_Hall '-C 2c 2'
_cell_length_a 4.1493
_cell_length_b 24.5780
_cell_length_c 3.9556
_cell_angle_alpha 90.00
_cell_angle_beta 90.00
_cell_angle_gamma 90.00
loop_
_atom_site_label
_atom_site_type_symbol
_atom_site_fract_x
_atom_site_fract_y
_atom_site_fract_z
_atom_site_occupancy
Tb1 Tb 0.0000 0.2025 0.2500 1
Y1 Y 0.0000 0.0694 0.7500 1
Si1 Si 0.0000 0.3228 0.2500 1
Si2 Si 0.0000 0.3809 0.7500 1
Si3 Si 0.0000 0.4752 0.7500 1
```

Computed PXRD pattern of Tb2Zn3Si2 for Cu Kα, from a PBE-relaxed structure.
Neutral-atom scattering factors, no anomalous dispersion.

Most intense lines, 2θ = 15–90°, by intensity:
2θ 33.01, I = 1000
2θ 36.21, I = 714
2θ 41.32, I = 386
2θ 35.72, I = 327
2θ 27.78, I = 327
2θ 62.22, I = 288
2θ 44.88, I = 255
2θ 62.64, I = 218
2θ 48.76, I = 199
2θ 33.77, I = 178

Crystal structure
```
data_Tb2Zn3Si2
_chemical_formula_sum 'Tb4 Zn6 Si4'
_space_group_name_H-M_alt 'C m m m'
_space_group_IT_number 65
_space_group_name_Hall '-C 2 2'
_cell_length_a 3.7355
_cell_length_b 18.8596
_cell_length_c 4.0393
_cell_angle_alpha 90.00
_cell_angle_beta 90.00
_cell_angle_gamma 90.00
loop_
_atom_site_label
_atom_site_type_symbol
_atom_site_fract_x
_atom_site_fract_y
_atom_site_fract_z
_atom_site_occupancy
Tb1 Tb 0.0000 0.1645 0.0000 1
Zn1 Zn 0.0000 0.0000 0.0000 1
Zn2 Zn 0.0000 0.4320 0.5000 1
Si1 Si 0.0000 0.2888 0.5000 1
```

Computed PXRD pattern of Tb2Zn2Si3 for Cu Kα, from a PBE-relaxed structure.
Neutral-atom scattering factors, no anomalous dispersion.

Most intense lines, 2θ = 15–90°, by intensity:
2θ 35.18, I = 1000
2θ 34.49, I = 705
2θ 44.47, I = 311
2θ 43.89, I = 263
2θ 31.92, I = 253
2θ 23.29, I = 231
2θ 56.97, I = 225
2θ 64.26, I = 207
2θ 22.08, I = 168
2θ 26.16, I = 158

Crystal structure
```
data_Tb2Zn2Si3
_chemical_formula_sum 'Tb8 Zn8 Si12'
_space_group_name_H-M_alt 'C m c m'
_space_group_IT_number 63
_space_group_name_Hall '-C 2c 2'
_cell_length_a 4.1260
_cell_length_b 18.4559
_cell_length_c 6.8117
_cell_angle_alpha 90.00
_cell_angle_beta 90.00
_cell_angle_gamma 90.00
loop_
_atom_site_label
_atom_site_type_symbol
_atom_site_fract_x
_atom_site_fract_y
_atom_site_fract_z
_atom_site_occupancy
Tb1 Tb 0.0000 0.0493 0.2500 1
Tb2 Tb 0.0000 0.1560 0.7500 1
Zn1 Zn 0.0000 0.3210 0.5633 1
Si1 Si 0.0000 0.2189 0.2500 1
Si2 Si 0.0000 0.4424 0.0768 1
```

Computed PXRD pattern of Tb3ZnSi3 for Cu Kα, from a PBE-relaxed structure.
Neutral-atom scattering factors, no anomalous dispersion.

Most intense lines, 2θ = 15–90°, by intensity:
2θ 32.66, I = 1000
2θ 32.82, I = 588
2θ 27.14, I = 530
2θ 57.74, I = 233
2θ 42.82, I = 225
2θ 51.44, I = 223
2θ 30.00, I = 190
2θ 42.18, I = 189
2θ 46.10, I = 182
2θ 72.04, I = 161

Crystal structure
```
data_Tb3ZnSi3
_chemical_formula_sum 'Tb6 Zn2 Si6'
_space_group_name_H-M_alt 'I m m 2'
_space_group_IT_number 44
_cell_length_a 3.9381
_cell_length_b 4.2242
_cell_length_c 17.8724
_cell_angle_alpha 90.00
_cell_angle_beta 90.00
_cell_angle_gamma 90.00
loop_
_space_group_symop_operation_xyz
'x,y,z'
'-x,-y,z'
'-x,y,z'
'x,-y,z'
'x+1/2,y+1/2,z+1/2'
'-x+1/2,-y+1/2,z+1/2'
'-x+1/2,y+1/2,z+1/2'
'x+1/2,-y+1/2,z+1/2'
loop_
_atom_site_label
_atom_site_type_symbol
_atom_site_fract_x
_atom_site_fract_y
_atom_site_fract_z
_atom_site_occupancy
Tb1 Tb 0.0000 0.0000 0.0000 1
Tb2 Tb 0.0000 0.0000 0.3702 1
Tb3 Tb 0.0000 0.5000 0.6903 1
Zn1 Zn 0.0000 0.5000 0.1188 1
Si1 Si 0.0000 0.0000 0.5409 1
Si2 Si 0.0000 0.0000 0.8316 1
Si3 Si 0.0000 0.5000 0.2510 1
```